# 1
The following is a simulated X-ray powder pattern of LiDy7Tl4. It was derived from a DFT-relaxed cell (GGA-PBE, Alexandria), using Cu Kα (weighted mean of Kα1 and Kα2).
No peak broadening, texture or thermal motion is included.

Most intense lines, 15° ≤ 2θ ≤ 90°, sorted by position:
| two_theta | intensity |
| --- | --- |
| 16.19 | 17 |
| 17.72 | 30 |
| 27.02 | 16 |
| 32.30 | 64 |
| 33.31 | 45 |
| 34.34 | 100 |
| 35.44 | 86 |
| 39.84 | 17 |
| 47.08 | 35 |
| 58.92 | 21 |
| 59.65 | 19 |
| 63.57 | 16 |

Structural model:
```
LiDy7Tl4
1.0
7.299 -2.772 0.000
7.299 2.772 0.000
-6.746 0.000 8.899
Li Dy Tl
1 7 4
Direct
0.000 0.000 0.000
0.068 0.068 0.329
0.220 0.220 0.871
0.339 0.339 0.405
0.500 0.500 0.000
0.661 0.661 0.595
0.780 0.780 0.129
0.932 0.932 0.671
0.296 0.296 0.663
0.430 0.430 0.220
0.570 0.570 0.780
0.704 0.704 0.337
```

# 2
The following is a simulated X-ray powder pattern of Li5Dy4Tl6. It was derived from a DFT-relaxed cell (GGA-PBE, Alexandria), using Cu Kα (weighted mean of Kα1 and Kα2).
No peak broadening, texture or thermal motion is included.

Most intense lines, 15° ≤ 2θ ≤ 90°, sorted by position:
| two_theta | intensity |
| --- | --- |
| 22.55 | 29 |
| 22.80 | 35 |
| 25.75 | 24 |
| 27.39 | 20 |
| 28.06 | 28 |
| 33.18 | 24 |
| 33.58 | 50 |
| 33.75 | 79 |
| 35.34 | 100 |
| 37.61 | 55 |
| 38.54 | 23 |
| 46.57 | 20 |

Structural model:
```
Li5Dy4Tl6
1.0
2.391 -11.829 0.000
2.391 11.829 0.000
0.000 0.000 12.987
Li Dy Tl
10 8 12
Direct
0.026 0.974 0.500
0.158 0.842 0.448
0.169 0.831 0.838
0.223 0.777 0.069
0.326 0.674 0.501
0.674 0.326 0.001
0.777 0.223 0.569
0.831 0.169 0.338
0.842 0.158 0.948
0.974 0.026 0.000
0.334 0.666 0.759
0.363 0.637 0.143
0.441 0.559 0.379
0.479 0.521 0.641
0.521 0.479 0.141
0.559 0.441 0.879
0.637 0.363 0.643
0.666 0.334 0.259
0.062 0.938 0.717
0.070 0.930 0.278
0.100 0.900 0.032
0.223 0.777 0.630
0.258 0.742 0.309
0.425 0.575 0.935
0.575 0.425 0.435
0.742 0.258 0.809
0.777 0.223 0.130
0.900 0.100 0.532
0.930 0.070 0.778
0.938 0.062 0.217
```